Computed powder XRD pattern of CaPr2Nd3 for Cu Kα X-rays, from DFT lattice parameters and positions (GGA-PBE).

Peak list (10 most intense, 2θ = 5–70°, by angle)
two_theta, Rel. int.
7.36, 22
29.15, 44
29.76, 46
30.20, 50
30.61, 100
31.50, 46
41.12, 17
45.21, 17
55.31, 14
60.15, 15

Structural model:
```
CaPr2Nd3
1.0
3.602 0.000 0.000
-0.004 10.113 0.000
-0.012 -3.182 12.010
Ca Pr Nd
2 4 6
direct
0.247 0.224 0.382 Ca
0.753 0.776 0.618 Ca
0.250 0.462 0.658 Pr
0.250 0.870 0.378 Pr
0.750 0.130 0.622 Pr
0.750 0.538 0.342 Pr
0.249 0.290 0.120 Nd
0.251 0.026 0.866 Nd
0.251 0.638 0.109 Nd
0.749 0.362 0.891 Nd
0.749 0.974 0.134 Nd
0.751 0.710 0.880 Nd
```